Theoretical X-ray diffraction stick pattern of TaMnSi for CuKα, from a structure optimized by DFT (GGA-PBE).

Cell and atoms:
```
TaMnSi
1.0
-3.526 5.496 3.199
3.526 -5.496 3.199
3.526 5.496 -3.199
Ta Mn Si
6 6 6
Cartesian
1.763 0.014 0.000
1.763 3.086 0.886
1.763 -2.176 3.949
1.763 7.671 0.750
1.763 2.410 4.086
1.763 5.482 3.199
3.744 4.146 -1.335
3.307 -1.350 1.864
-0.218 1.350 1.864
3.744 1.350 1.864
0.000 5.496 1.024
0.000 0.000 4.223
3.565 1.840 -0.532
3.487 -3.656 2.667
1.763 5.231 -0.580
1.763 0.265 2.619
-0.039 3.656 2.667
3.565 3.656 2.667
```

Largest 8 diffraction maxima, in order of rising 2θ, 5 to 70 degrees two-theta:
d (Å)  I_rel
3.526  37
3.180  39
2.765  31
2.369  47
2.361  100
2.176  76
2.167  35
1.763  25


Theoretical X-ray diffraction stick pattern of TaMnSi for CuKα, from a structure optimized by DFT (GGA-PBE).

Cell and atoms:
```
TaMnSi
1.0
6.407 0.000 0.000
-3.204 5.549 0.000
0.000 0.000 3.477
Ta Mn Si
3 3 3
Cartesian
-1.888 3.270 0.000
1.315 2.278 0.000
3.776 0.000 0.000
-0.790 1.368 1.738
1.579 0.000 1.738
2.414 4.181 1.738
0.000 0.000 0.000
0.000 3.699 1.738
3.204 1.850 1.738
```

Largest 8 diffraction maxima, in order of rising 2θ, 5 to 70 degrees two-theta:
d (Å)  I_rel
3.477  21
3.204  43
2.774  24
2.356  100
2.169  62
2.097  39
1.539  22
1.407  36


Theoretical X-ray diffraction stick pattern of TbMn2Si2 for CuKα, from a structure optimized by DFT (GGA-PBE).

Cell and atoms:
```
TbMn2Si2
1.0
-1.953 1.953 5.167
1.953 -1.953 5.167
1.953 1.953 -5.167
Tb Mn Si
1 2 2
Cartesian
0.000 0.000 0.000
1.953 0.000 2.584
0.000 1.953 2.584
0.000 0.000 3.919
0.000 0.000 6.416
```

Largest 8 diffraction maxima, in order of rising 2θ, 5 to 70 degrees two-theta:
d (Å)  I_rel
3.653  51
2.583  78
2.435  100
1.953  36
1.827  25
1.558  40
1.461  18
1.381  15


Theoretical X-ray diffraction stick pattern of Th2MnSi3 for CuKα, from a structure optimized by DFT (GGA-PBE).

Cell and atoms:
```
Th2MnSi3
1.0
-2.003 2.130 7.167
2.003 -2.130 7.167
2.003 2.130 -7.167
Th Mn Si
2 1 3
Cartesian
0.000 0.000 0.000
0.000 2.130 3.586
0.000 0.000 8.439
2.003 0.000 2.359
2.003 0.000 4.770
0.000 0.000 6.097
```

Largest 8 diffraction maxima, in order of rising 2θ, 5 to 70 degrees two-theta:
d (Å)  I_rel
4.083  30
3.858  21
3.584  26
3.179  25
3.070  30
2.702  100
2.378  21
1.847  23